[1]
This entry pairs a crystal structure of MgZn2Fe4O8 with its simulated powder diffraction line list. Radiation: Cu Kα (λ = 1.5418 Å). Structure: a PBE+U-relaxed structure.
Neutral-atom scattering factors, no anomalous dispersion.

Main lines, by angle (10° ≤ 2θ ≤ 90°):
2θ 22.56, I = 52.4, hkl 0 2 1; 2θ 25.89, I = 63.6, hkl 0 2 2; 2θ 31.79, I = 74.5, hkl 1 0 1; 2θ 32.58, I = 100.0, hkl 0 1 3; 2θ 32.76, I = 89.8, hkl 0 2 -1; 2θ 33.66, I = 50.9, hkl 1 2 1; 2θ 38.52, I = 46.3, hkl 1 0 -2; 2θ 38.64, I = 66.2, hkl -1 1 2

Lattice parameters (Å, degrees): 3.0906 8.0336 8.3351 62.63 84.57 78.98
Space group P1 (No. 1)
Unique sites:
Mg 0.0000 0.0000 0.0000
Zn 0.2236 0.6036 0.2118
Zn 0.4224 0.3825 0.8850
Fe 0.2890 0.0968 0.3247
Fe 0.6326 0.8494 0.7768
Fe 0.7082 0.2908 0.5588
Fe 0.9047 0.6492 0.5670
O 0.0131 0.0359 0.7446
O 0.2467 0.3215 0.3521
O 0.3133 0.6631 0.7509
O 0.4092 0.1275 0.0819
O 0.4499 0.6025 0.4387
O 0.6730 0.7674 0.0654
O 0.8288 0.9436 0.4381
O 0.9659 0.3738 0.7371

=====

[2]
This entry pairs a crystal structure of CdCoP4O12 with its simulated powder diffraction line list. Radiation: Cu Kα (λ = 1.5418 Å). Structure: a PBE+U-relaxed structure.
Neutral-atom scattering factors, no anomalous dispersion.

Main lines, by angle (10° ≤ 2θ ≤ 90°):
2θ 13.90, I = 50.4, hkl 1 1 -1; 2θ 20.35, I = 61.1, hkl 1 1 -2; 2θ 25.52, I = 42.7, hkl 3 1 -2; 2θ 26.91, I = 42.5, hkl 3 1 0; 2θ 28.72, I = 100.0, hkl 0 2 2; 2θ 33.33, I = 25.4, hkl 4 0 0; 2θ 36.23, I = 26.2, hkl 4 2 -2; 2θ 41.57, I = 25.2, hkl 1 3 -3

Lattice parameters (Å, degrees): 12.2170 8.6771 10.1226 90.00 118.33 90.00
Space group C2/c (No. 15)
Unique sites:
Cd 0.0000 0.0485 0.2500
Co 0.2500 0.2500 0.5000
P 0.0076 0.2732 0.9750
P 0.1907 0.4973 0.1966
O 0.0445 0.1354 0.9196
O 0.0546 0.2517 0.4263
O 0.0796 0.3832 0.6644
O 0.1311 0.3760 0.0604
O 0.2118 0.0848 0.3272
O 0.2285 0.4214 0.3431

=====

[3]
This entry pairs a crystal structure of TaCrO4 with its simulated powder diffraction line list. Radiation: Cu Kα (λ = 1.5418 Å). Structure: a PBE+U-relaxed structure.
Neutral-atom scattering factors, no anomalous dispersion.

Main lines, by angle (10° ≤ 2θ ≤ 90°):
2θ 21.09, I = 75.2, hkl 1 1 0; 2θ 23.11, I = 33.3, hkl 0 2 1; 2θ 27.62, I = 73.0, hkl 1 1 1; 2θ 34.95, I = 100.0, hkl 0 4 1; 2θ 41.83, I = 24.7, hkl 1 1 2; 2θ 54.19, I = 38.7, hkl 2 4 1; 2θ 56.98, I = 22.1, hkl 1 5 2; 2θ 63.65, I = 27.5, hkl 0 4 3

Lattice parameters (Å, degrees): 4.5006 11.9507 5.0304 90.00 90.00 90.00
Space group Pbcn (No. 60)
Unique sites:
Ta 0.0000 0.0757 0.2500
Cr 0.0000 0.3220 0.2500
O 0.2332 0.1902 0.0810
O 0.2413 0.0559 0.5818

=====

[4]
This entry pairs a crystal structure of NiSbO3 with its simulated powder diffraction line list. Radiation: Cu Kα (λ = 1.5418 Å). Structure: a PBE+U-relaxed structure.
Neutral-atom scattering factors, no anomalous dispersion.

Main lines, by angle (10° ≤ 2θ ≤ 90°):
2θ 23.40, I = 5.9, hkl 1 0 0; 2θ 33.33, I = 100.0, hkl 1 1 0; 2θ 41.12, I = 13.8, hkl 1 1 1; 2θ 47.85, I = 32.9, hkl 2 0 0; 2θ 59.56, I = 37.1, hkl 2 1 1; 2θ 70.00, I = 18.9, hkl 2 2 0; 2θ 79.77, I = 15.9, hkl 3 1 0; 2θ 89.25, I = 6.5, hkl 2 2 2

Lattice parameters (Å, degrees): 3.8018 3.8018 3.8018 90.00 90.00 90.00
Space group Pm-3m (No. 221)
Unique sites:
Ni 0.0000 0.0000 0.0000
Sb 0.5000 0.5000 0.5000
O 0.0000 0.0000 0.5000

=====

[5]
This entry pairs a crystal structure of Cs2CrH4F10 with its simulated powder diffraction line list. Radiation: Cu Kα (λ = 1.5418 Å). Structure: a PBE+U-relaxed structure.
Neutral-atom scattering factors, no anomalous dispersion.

Main lines, by angle (10° ≤ 2θ ≤ 90°):
2θ 17.77, I = 83.5, hkl 1 1 0; 2θ 21.10, I = 100.0, hkl 1 1 -2; 2θ 22.38, I = 64.7, hkl 0 1 2; 2θ 23.91, I = 78.9, hkl 2 0 -2; 2θ 27.21, I = 61.8, hkl 1 0 2; 2θ 28.66, I = 67.4, hkl 2 1 0; 2θ 33.76, I = 60.4, hkl 1 0 -4; 2θ 34.62, I = 97.3, hkl 2 2 -2

Lattice parameters (Å, degrees): 7.7709 7.2205 10.7067 90.00 117.30 90.00
Space group P2_1/c (No. 14)
Unique sites:
Cs 0.1399 0.2165 0.1651
Cr 0.5000 0.0000 0.0000
H 0.2805 0.7040 0.2323
H 0.3395 0.5967 0.0049
F 0.1605 0.7257 0.6770
F 0.2365 0.5050 0.9709
F 0.2408 0.0355 0.9382
F 0.4482 0.5892 0.3192
F 0.4796 0.7394 0.5553

=====

[6]
This entry pairs a crystal structure of V2ZnO4 with its simulated powder diffraction line list. Radiation: Cu Kα (λ = 1.5418 Å). Structure: a PBE+U-relaxed structure.
Neutral-atom scattering factors, no anomalous dispersion.

Main lines, by angle (10° ≤ 2θ ≤ 90°):
2θ 29.49, I = 42.0, hkl 2 2 0; 2θ 34.72, I = 100.0, hkl 3 1 1; 2θ 42.19, I = 11.5, hkl 4 0 0; 2θ 52.31, I = 15.3, hkl 4 2 2; 2θ 55.75, I = 36.7, hkl 5 1 1; 2θ 61.19, I = 44.1, hkl 4 4 0; 2θ 72.31, I = 10.3, hkl 5 3 3; 2θ 87.43, I = 16.9, hkl 5 5 3

Lattice parameters (Å, degrees): 8.5685 8.5685 8.5685 90.00 90.00 90.00
Space group Fd-3m (No. 227, origin choice 2)
Unique sites:
V 0.0000 0.0000 0.0000
Zn 0.1250 0.1250 0.6250
O 0.0102 0.0102 0.2398